(1)
Calculated powder X-ray diffraction pattern
Compound: MgSn
Radiation: Cu Kα
Structure: a GGA-PBE-relaxed structure
Peak positions follow from Bragg's law for the DFT cell and can differ from measured ones.

The 10 most intense peaks (2θ = 10–90°), in order of rising 2θ:
d/Å, 2θ/deg, I_rel, (hkl)
4.992, 17.77, 54, 0 0 1
3.762, 23.65, 23, 0 1 1
2.986, 29.93, 45, 1 1 0
2.863, 31.24, 76, 0 2 0
2.562, 35.02, 100, 1 1 1
2.483, 36.18, 19, 0 2 1
2.288, 39.38, 43, 0 1 2
2.025, 44.76, 21, 1 2 1
1.588, 58.10, 28, 1 3 1
1.390, 67.37, 20, 2 1 2

Atomic structure:
```
data_MgSn
_cell_length_a 3.499
_cell_length_b 5.723
_cell_length_c 4.992
_cell_angle_alpha 90.00
_cell_angle_beta 90.00
_cell_angle_gamma 90.00
_space_group_name_H-M_alt 'P m m n'
_space_group_IT_number 59
loop_
_space_group_symop_operation_xyz
'x,y,z'
'-x,-y,-z'
'-x+1/2,-y+1/2,z'
'x+1/2,y+1/2,-z'
'x+1/2,-y,-z'
'-x+1/2,y,z'
'-x,y+1/2,-z'
'x,-y+1/2,z'
loop_
_atom_site_label
_atom_site_type_symbol
_atom_site_fract_x
_atom_site_fract_y
_atom_site_fract_z
Mg1 Mg 0.250 0.250 0.092
Sn1 Sn 0.250 0.750 0.409
```

=====

(2)
Calculated powder X-ray diffraction pattern
Compound: MgSn
Radiation: Cu Kα
Structure: a GGA-PBE-relaxed structure
Peak positions follow from Bragg's law for the DFT cell and can differ from measured ones.

The 10 most intense peaks (2θ = 10–90°), in order of rising 2θ:
d/Å, 2θ/deg, I_rel, (hkl)
7.741, 11.43, 32, 0 0 2
2.889, 30.96, 28, 1 0 0
2.840, 31.51, 24, 0 1 1
2.580, 34.77, 22, 0 0 6
2.521, 35.62, 100, 1 0 3
1.924, 47.23, 18, 0 1 6
1.668, 55.07, 19, 1 1 0
1.478, 62.88, 17, 1 0 9
1.401, 66.79, 20, 1 1 6
1.391, 67.32, 16, 0 2 3

Atomic structure:
```
data_MgSn
_cell_length_a 3.3355
_cell_length_b 3.3355
_cell_length_c 15.4814
_cell_angle_alpha 90.00
_cell_angle_beta 90.00
_cell_angle_gamma 120.00
_space_group_name_H-M_alt 'P 3 m 1'
_space_group_IT_number 156
_space_group_name_Hall 'P 3 -2"'
loop_
_atom_site_label
_atom_site_type_symbol
_atom_site_fract_x
_atom_site_fract_y
_atom_site_fract_z
Mg1 Mg 0.0000 0.0000 0.0000
Mg2 Mg 0.0000 0.0000 0.3242
Mg3 Mg 0.3333 0.6667 0.4834
Sn1 Sn 0.0000 0.0000 0.6478
Sn2 Sn 0.3333 0.6667 0.1604
Sn3 Sn 0.3333 0.6667 0.8357
```

=====

(3)
Calculated powder X-ray diffraction pattern
Compound: MgSn
Radiation: Cu Kα
Structure: a GGA-PBE-relaxed structure
Peak positions follow from Bragg's law for the DFT cell and can differ from measured ones.

The 10 most intense peaks (2θ = 10–90°), in order of rising 2θ:
d/Å, 2θ/deg, I_rel, (hkl)
4.469, 19.87, 40, 1 0 2
3.288, 27.12, 20, 1 0 4
3.263, 27.33, 24, 0 1 1
2.861, 31.27, 21, 0 1 3
2.638, 33.99, 35, 2 0 0
2.515, 35.70, 100, 1 1 3
2.475, 36.29, 39, 1 0 6
1.629, 56.49, 16, 0 1 9
1.498, 61.94, 21, 3 1 3
1.386, 67.59, 19, 2 1 9

Atomic structure:
```
data_MgSn
_cell_length_a 5.276
_cell_length_b 3.326
_cell_length_c 16.817
_cell_angle_alpha 90.00
_cell_angle_beta 90.00
_cell_angle_gamma 90.00
_space_group_name_H-M_alt 'A m m 2'
_space_group_IT_number 38
_space_group_name_Hall 'A 2 -2'
loop_
_atom_site_label
_atom_site_type_symbol
_atom_site_fract_x
_atom_site_fract_y
_atom_site_fract_z
Mg1 Mg 0.000 0.000 0.000
Mg2 Mg 0.000 0.000 0.334
Mg3 Mg 0.500 0.000 0.113
Sn1 Sn 0.000 0.000 0.663
Sn2 Sn 0.500 0.000 0.452
Sn3 Sn 0.500 0.000 0.778
```